# Y2MnCrO6
Calculated X-ray diffraction stick pattern, CuKα. Input: a crystal structure in Alexandria, relaxed with PBE+U.

The 10 most intense peaks (2θ from 15° to 90°), sorted by position:
hkl 1 1 0, 2θ 25.86, I 19; hkl 1 1 -2, 2θ 26.03, I 19; hkl 0 2 0, 2θ 31.85, I 39; hkl 1 1 1, 2θ 33.01, I 100; hkl 1 1 -3, 2θ 33.28, I 99; hkl 2 0 -2, 2θ 33.95, I 66; hkl 2 2 -2, 2θ 47.22, I 41; hkl 0 0 4, 2θ 47.93, I 32; hkl 3 1 -1, 2θ 59.95, I 23; hkl 3 1 -5, 2θ 60.46, I 23

Structure:
a b c (Å): 5.285 5.620 9.203
angles (deg): 90.00 124.42 90.00
Positions (direct):
1 Y 0.228 0.071 0.249
2 Y 0.228 0.429 0.749
3 Y 0.772 0.571 0.251
4 Y 0.772 0.929 0.751
5 Mn 0.000 0.000 0.500
6 Mn 0.000 0.500 0.000
7 Cr 0.500 0.000 0.000
8 Cr 0.500 0.500 0.500
9 O 0.136 0.197 0.944
10 O 0.136 0.303 0.444
11 O 0.252 0.696 0.945
12 O 0.252 0.804 0.445
13 O 0.357 0.038 0.747
14 O 0.357 0.462 0.247
15 O 0.643 0.538 0.753
16 O 0.643 0.962 0.253
17 O 0.748 0.196 0.555
18 O 0.748 0.304 0.055
19 O 0.864 0.697 0.556
20 O 0.864 0.803 0.056